Computed powder diffraction line list
Compound: Sm6Cd5Cu
Radiation: CuKα
Structure: a structure optimized by DFT (GGA-PBE)
Peak positions follow from Bragg's law for the DFT cell and can differ from measured ones.

Structure:
Unit cell a=9.214 b=9.214 c=5.307 alpha=106.69 beta=106.69 gamma=49.02
Element x y z (fractional)
1 Sm 0.080 0.600 0.340
2 Sm 0.234 0.766 0.000
3 Sm 0.400 0.920 0.660
4 Sm 0.600 0.080 0.340
5 Sm 0.766 0.234 0.000
6 Sm 0.920 0.400 0.660
7 Cd 0.177 0.177 0.177
8 Cd 0.333 0.333 0.833
9 Cd 0.500 0.500 0.500
10 Cd 0.667 0.667 0.167
11 Cd 0.823 0.823 0.823
12 Cu 0.000 0.000 0.500

Top 10 peaks for 10° ≤ 2θ ≤ 90°, by angle:
2θ = 33.5°, I = 100; 2θ = 33.8°, I = 49; 2θ = 47.6°, I = 9; 2θ = 48.5°, I = 17; 2θ = 59.6°, I = 18; 2θ = 60.2°, I = 34; 2θ = 70.3°, I = 10; 2θ = 79.4°, I = 7; 2θ = 80.9°, I = 7; 2θ = 81.0°, I = 5

---

Computed powder diffraction line list
Compound: CsRbAg
Radiation: CuKα
Structure: a structure optimized by DFT (GGA-PBE)
Peak positions follow from Bragg's law for the DFT cell and can differ from measured ones.

Structure:
Unit cell a=5.250 b=5.250 c=8.680 alpha=90.00 beta=90.00 gamma=120.00
Element x y z (fractional)
1 Cs 0.000 0.000 0.000
2 Rb 0.667 0.333 0.520
3 Ag 0.333 0.667 0.748

Top 10 peaks for 10° ≤ 2θ ≤ 90°, by angle:
2θ = 10.2°, I = 34; 2θ = 22.1°, I = 100; 2θ = 28.4°, I = 57; 2θ = 34.2°, I = 37; 2θ = 36.8°, I = 28; 2θ = 41.0°, I = 19; 2θ = 45.0°, I = 16; 2θ = 54.4°, I = 17; 2θ = 54.9°, I = 18; 2θ = 57.7°, I = 15

---

Computed powder diffraction line list
Compound: Sr3In8Sn3
Radiation: CuKα
Structure: a structure optimized by DFT (GGA-PBE)
Peak positions follow from Bragg's law for the DFT cell and can differ from measured ones.

Structure:
Unit cell a=9.531 b=9.531 c=9.531 alpha=149.22 beta=107.09 gamma=81.20
Element x y z (fractional)
1 Sr 0.000 0.000 0.000
2 Sr 0.311 0.311 0.000
3 Sr 0.689 0.689 0.000
4 In 0.033 0.660 0.372
5 In 0.128 0.853 0.274
6 In 0.288 0.660 0.628
7 In 0.421 0.147 0.274
8 In 0.579 0.853 0.726
9 In 0.712 0.340 0.372
10 In 0.872 0.147 0.726
11 In 0.967 0.340 0.628
12 Sn 0.301 0.500 0.801
13 Sn 0.500 0.000 0.500
14 Sn 0.699 0.500 0.199

Top 10 peaks for 10° ≤ 2θ ≤ 90°, by angle:
2θ = 30.1°, I = 100; 2θ = 32.1°, I = 25; 2θ = 35.5°, I = 38; 2θ = 36.9°, I = 17; 2θ = 37.3°, I = 25; 2θ = 38.8°, I = 19; 2θ = 41.0°, I = 13; 2θ = 52.4°, I = 18; 2θ = 58.2°, I = 13; 2θ = 60.4°, I = 14

---

Computed powder diffraction line list
Compound: NpAl4CuAu2
Radiation: CuKα
Structure: a structure optimized by DFT (GGA-PBE)
Peak positions follow from Bragg's law for the DFT cell and can differ from measured ones.

Structure:
Unit cell a=9.100 b=9.100 c=9.100 alpha=27.55 beta=27.55 gamma=27.55
Element x y z (fractional)
1 Np 0.000 0.000 0.000
2 Al 0.131 0.131 0.131
3 Al 0.400 0.400 0.400
4 Al 0.600 0.600 0.600
5 Al 0.869 0.869 0.869
6 Cu 0.500 0.500 0.500
7 Au 0.240 0.240 0.240
8 Au 0.760 0.760 0.760

Top 10 peaks for 10° ≤ 2θ ≤ 90°, by angle:
2θ = 27.4°, I = 100; 2θ = 29.2°, I = 23; 2θ = 36.4°, I = 72; 2θ = 41.7°, I = 63; 2θ = 50.6°, I = 19; 2θ = 52.6°, I = 13; 2θ = 56.5°, I = 20; 2θ = 60.1°, I = 21; 2θ = 67.6°, I = 16; 2θ = 72.6°, I = 20

---

Computed powder diffraction line list
Compound: Pa4NbGe3
Radiation: CuKα
Structure: a structure optimized by DFT (GGA-PBE)
Peak positions follow from Bragg's law for the DFT cell and can differ from measured ones.

Structure:
Unit cell a=8.354 b=8.354 c=8.354 alpha=96.40 beta=96.40 gamma=140.98
Element x y z (fractional)
1 Pa 0.092 0.771 0.864
2 Pa 0.229 0.092 0.321
3 Pa 0.271 0.592 0.864
4 Pa 0.408 0.271 0.679
5 Pa 0.592 0.729 0.321
6 Pa 0.729 0.408 0.136
7 Pa 0.771 0.908 0.679
8 Pa 0.908 0.229 0.136
9 Nb 0.250 0.750 0.500
10 Nb 0.750 0.250 0.500
11 Ge 0.150 0.350 0.500
12 Ge 0.250 0.250 0.000
13 Ge 0.350 0.850 0.200
14 Ge 0.650 0.150 0.800
15 Ge 0.750 0.750 0.000
16 Ge 0.850 0.650 0.500

Top 10 peaks for 10° ≤ 2θ ≤ 90°, by angle:
2θ = 23.9°, I = 39; 2θ = 32.1°, I = 37; 2θ = 33.2°, I = 100; 2θ = 36.0°, I = 89; 2θ = 37.0°, I = 70; 2θ = 39.6°, I = 27; 2θ = 46.9°, I = 25; 2θ = 57.9°, I = 23; 2θ = 59.8°, I = 20; 2θ = 74.8°, I = 22

---

Computed powder diffraction line list
Compound: TiZnPdRh
Radiation: CuKα
Structure: a structure optimized by DFT (GGA-PBE)
Peak positions follow from Bragg's law for the DFT cell and can differ from measured ones.

Structure:
Unit cell a=4.530 b=4.530 c=4.530 alpha=126.34 beta=126.34 gamma=79.34
Element x y z (fractional)
1 Ti 0.000 0.000 0.000
2 Zn 0.500 0.500 0.000
3 Pd 0.750 0.250 0.500
4 Rh 0.250 0.750 0.500

Top 10 peaks for 10° ≤ 2θ ≤ 90°, by angle:
2θ = 25.5°, I = 7; 2θ = 30.9°, I = 9; 2θ = 40.5°, I = 100; 2θ = 44.3°, I = 38; 2θ = 51.8°, I = 4; 2θ = 52.5°, I = 11; 2θ = 64.5°, I = 12; 2θ = 71.1°, I = 18; 2θ = 79.0°, I = 26; 2θ = 87.7°, I = 10

---

Computed powder diffraction line list
Compound: Pm2Dy2Mg3
Radiation: CuKα
Structure: a structure optimized by DFT (GGA-PBE)
Peak positions follow from Bragg's law for the DFT cell and can differ from measured ones.

Structure:
Unit cell a=14.370 b=14.370 c=14.370 alpha=164.89 beta=164.89 gamma=21.43
Element x y z (fractional)
1 Pm 0.069 0.069 0.000
2 Pm 0.931 0.931 0.000
3 Dy 0.209 0.209 0.000
4 Dy 0.791 0.791 0.000
5 Mg 0.359 0.359 0.000
6 Mg 0.500 0.500 0.000
7 Mg 0.641 0.641 0.000

Top 10 peaks for 10° ≤ 2θ ≤ 90°, by angle:
2θ = 23.8°, I = 40; 2θ = 25.2°, I = 14; 2θ = 32.5°, I = 100; 2θ = 33.5°, I = 47; 2θ = 42.4°, I = 14; 2θ = 48.2°, I = 17; 2θ = 54.4°, I = 18; 2θ = 57.2°, I = 18; 2θ = 59.3°, I = 36; 2θ = 68.0°, I = 11

---

Computed powder diffraction line list
Compound: LiPrLuTh
Radiation: CuKα
Structure: a structure optimized by DFT (GGA-PBE)
Peak positions follow from Bragg's law for the DFT cell and can differ from measured ones.

Structure:
Unit cell a=5.506 b=5.506 c=5.506 alpha=60.00 beta=60.00 gamma=60.00
Element x y z (fractional)
1 Li 0.000 0.000 0.000
2 Pr 0.250 0.250 0.250
3 Lu 0.500 0.500 0.500
4 Th 0.750 0.750 0.750

Top 10 peaks for 10° ≤ 2θ ≤ 90°, by angle:
2θ = 19.7°, I = 26; 2θ = 22.8°, I = 14; 2θ = 32.5°, I = 100; 2θ = 38.3°, I = 15; 2θ = 46.7°, I = 19; 2θ = 51.1°, I = 7; 2θ = 52.6°, I = 6; 2θ = 58.0°, I = 39; 2θ = 68.1°, I = 12; 2θ = 77.5°, I = 17